[1]
This entry pairs a crystal structure of Li2ZnAg3 with its simulated PXRD pattern. Radiation: Cu Kα (λ = 1.5418 Å). Structure: a crystal structure in Alexandria, relaxed with GGA-PBE.
Kinematic intensities with the Lorentz-polarization factor, no thermal factor.

Main lines, low angle first (2θ from 10° to 90°):
two_theta  d_spacing  I_rel
27.07  3.294  54.9
28.19  3.166  49.5
29.22  3.056  45.0
39.42  2.286  53.2
39.54  2.279  53.7
40.26  2.240  100.0
41.05  2.199  94.7
74.77  1.270  29.5

Cell and atoms:
```
Li2ZnAg3
1.0
4.575 0.000 0.000
0.000 6.112 0.000
-2.016 0.000 6.837
Li Zn Ag
4 2 6
direct
0.000 0.000 0.000 Li
0.000 0.500 0.000 Li
0.335 0.000 0.669 Li
0.665 0.000 0.331 Li
0.337 0.500 0.673 Zn
0.663 0.500 0.327 Zn
0.167 0.250 0.336 Ag
0.167 0.750 0.336 Ag
0.500 0.247 0.000 Ag
0.500 0.753 0.000 Ag
0.833 0.250 0.664 Ag
0.833 0.750 0.664 Ag
```

***

[2]
This entry pairs a crystal structure of Li2ZnAg8 with its simulated PXRD pattern. Radiation: Cu Kα (λ = 1.5418 Å). Structure: a crystal structure in Alexandria, relaxed with GGA-PBE.
Kinematic intensities with the Lorentz-polarization factor, no thermal factor.

Main lines, low angle first (2θ from 10° to 90°):
two_theta  d_spacing  I_rel
28.09  3.176  20.4
29.89  2.990  18.9
37.94  2.371  24.5
38.93  2.313  21.4
39.49  2.282  100.0
41.52  2.175  28.0
44.01  2.058  18.5
74.38  1.275  14.2

Cell and atoms:
```
Li2ZnAg8
1.0
-2.175 3.533 6.173
2.175 -3.533 6.173
2.175 3.533 -6.173
Li Zn Ag
2 1 8
direct
0.201 0.201 0.000 Li
0.799 0.799 0.000 Li
0.500 0.500 0.000 Zn
0.062 0.349 0.714 Ag
0.197 0.000 0.197 Ag
0.348 0.848 0.500 Ag
0.365 0.651 0.714 Ag
0.635 0.349 0.286 Ag
0.652 0.152 0.500 Ag
0.803 0.000 0.803 Ag
0.938 0.651 0.286 Ag
```

***

[3]
This entry pairs a crystal structure of Li6Zn2Ag with its simulated PXRD pattern. Radiation: Cu Kα (λ = 1.5418 Å). Structure: a crystal structure in Alexandria, relaxed with GGA-PBE.
Kinematic intensities with the Lorentz-polarization factor, no thermal factor.

Main lines, low angle first (2θ from 10° to 90°):
two_theta  d_spacing  I_rel
22.62  3.931  100.0
39.72  2.270  32.4
41.09  2.197  52.4
46.19  1.965  14.6
53.15  1.723  16.3
58.48  1.578  17.6
62.51  1.486  11.1
73.02  1.296  17.5

Cell and atoms:
```
Li6Zn2Ag
1.0
3.931 2.270 2.649
-3.931 2.270 2.649
0.000 -4.539 2.649
Li Zn Ag
6 2 1
direct
0.000 0.334 0.666 Li
0.000 0.666 0.334 Li
0.334 0.000 0.666 Li
0.334 0.666 0.000 Li
0.666 0.000 0.334 Li
0.666 0.334 0.000 Li
0.162 0.162 0.162 Zn
0.838 0.838 0.838 Zn
0.500 0.500 0.500 Ag
```

***

[4]
This entry pairs a crystal structure of Li3Zn2Ag4 with its simulated PXRD pattern. Radiation: Cu Kα (λ = 1.5418 Å). Structure: a crystal structure in Alexandria, relaxed with GGA-PBE.
Kinematic intensities with the Lorentz-polarization factor, no thermal factor.

Main lines, low angle first (2θ from 10° to 90°):
two_theta  d_spacing  I_rel
21.40  4.153  28.9
25.34  3.515  30.6
25.90  3.440  35.2
39.63  2.274  100.0
40.03  2.253  97.4
40.92  2.205  47.2
41.23  2.190  44.7
74.13  1.279  29.0

Cell and atoms:
```
Li3Zn2Ag4
1.0
3.947 -2.190 0.000
3.947 2.190 0.000
-0.486 0.000 8.306
Li Zn Ag
3 2 4
direct
0.000 0.000 0.000 Li
0.335 0.335 0.443 Li
0.665 0.665 0.557 Li
0.334 0.334 0.778 Zn
0.666 0.666 0.222 Zn
0.001 0.001 0.329 Ag
0.332 0.332 0.112 Ag
0.668 0.668 0.888 Ag
0.999 0.999 0.671 Ag
```

***

[5]
This entry pairs a crystal structure of Li2Zn9Ag with its simulated PXRD pattern. Radiation: Cu Kα (λ = 1.5418 Å). Structure: a crystal structure in Alexandria, relaxed with GGA-PBE.
Kinematic intensities with the Lorentz-polarization factor, no thermal factor.

Main lines, low angle first (2θ from 10° to 90°):
two_theta  d_spacing  I_rel
17.66  5.021  32.8
22.83  3.896  40.6
34.14  2.626  27.7
37.21  2.416  73.5
41.49  2.176  59.5
42.81  2.112  100.0
46.62  1.948  28.7
80.20  1.197  21.5

Cell and atoms:
```
Li2Zn9Ag
1.0
8.715 0.000 0.000
0.000 8.715 0.000
0.000 0.000 5.021
Li Zn Ag
4 18 2
direct
0.117 0.383 0.000 Li
0.383 0.883 0.000 Li
0.617 0.117 0.000 Li
0.883 0.617 0.000 Li
0.000 0.500 0.500 Zn
0.060 0.202 0.500 Zn
0.180 0.680 0.238 Zn
0.180 0.680 0.762 Zn
0.202 0.940 0.500 Zn
0.298 0.440 0.500 Zn
0.320 0.180 0.238 Zn
0.320 0.180 0.762 Zn
0.440 0.702 0.500 Zn
0.500 0.000 0.500 Zn
0.560 0.298 0.500 Zn
0.680 0.820 0.238 Zn
0.680 0.820 0.762 Zn
0.702 0.560 0.500 Zn
0.798 0.060 0.500 Zn
0.820 0.320 0.238 Zn
0.820 0.320 0.762 Zn
0.940 0.798 0.500 Zn
0.000 0.000 0.000 Ag
0.500 0.500 0.000 Ag
```

***

[6]
This entry pairs a crystal structure of Li3Zn3Ag5 with its simulated PXRD pattern. Radiation: Cu Kα (λ = 1.5418 Å). Structure: a crystal structure in Alexandria, relaxed with GGA-PBE.
Kinematic intensities with the Lorentz-polarization factor, no thermal factor.

Main lines, low angle first (2θ from 10° to 90°):
two_theta  d_spacing  I_rel
19.89  4.464  89.6
30.59  2.922  57.5
31.38  2.850  100.0
34.81  2.577  95.7
37.43  2.402  43.0
40.41  2.232  57.2
47.57  1.912  72.5
52.04  1.757  55.4

Cell and atoms:
```
Li3Zn3Ag5
1.0
8.928 0.000 0.000
-4.464 7.731 0.000
0.000 0.000 2.850
Li Zn Ag
3 3 5
direct
0.000 0.410 0.000 Li
0.410 0.000 0.000 Li
0.590 0.590 0.000 Li
0.000 0.166 0.500 Zn
0.166 0.000 0.500 Zn
0.834 0.834 0.500 Zn
0.000 0.660 0.500 Ag
0.333 0.667 0.500 Ag
0.340 0.340 0.500 Ag
0.660 0.000 0.500 Ag
0.667 0.333 0.500 Ag
```

***

[7]
This entry pairs a crystal structure of LiZn5Ag with its simulated PXRD pattern. Radiation: Cu Kα (λ = 1.5418 Å). Structure: a crystal structure in Alexandria, relaxed with GGA-PBE.
Kinematic intensities with the Lorentz-polarization factor, no thermal factor.

Main lines, low angle first (2θ from 10° to 90°):
two_theta  d_spacing  I_rel
12.71  6.965  21.4
32.03  2.795  24.0
40.44  2.231  100.0
40.51  2.227  34.2
40.68  2.218  36.7
41.23  2.189  35.1
50.34  1.813  17.2
78.88  1.214  15.6

Cell and atoms:
```
LiZn5Ag
1.0
7.218 0.000 0.000
0.000 2.901 0.000
-2.834 0.000 10.428
Li Zn Ag
2 10 2
direct
0.141 0.250 0.148 Li
0.859 0.750 0.852 Li
0.000 0.250 0.685 Zn
0.000 0.750 0.315 Zn
0.196 0.250 0.510 Zn
0.198 0.250 0.912 Zn
0.336 0.750 0.727 Zn
0.428 0.750 0.090 Zn
0.572 0.250 0.910 Zn
0.664 0.250 0.273 Zn
0.802 0.750 0.088 Zn
0.804 0.750 0.490 Zn
0.398 0.750 0.365 Ag
0.602 0.250 0.635 Ag
```

***

[8]
This entry pairs a crystal structure of LiZr2Ag with its simulated PXRD pattern. Radiation: Cu Kα (λ = 1.5418 Å). Structure: a crystal structure in Alexandria, relaxed with GGA-PBE.
Kinematic intensities with the Lorentz-polarization factor, no thermal factor.

Main lines, low angle first (2θ from 10° to 90°):
two_theta  d_spacing  I_rel
20.30  4.374  24.9
25.26  3.525  31.7
36.50  2.462  84.4
36.79  2.443  100.0
37.20  2.417  31.0
37.31  2.410  30.2
41.28  2.187  31.3
56.81  1.621  34.4

Cell and atoms:
```
LiZr2Ag
1.0
3.039 0.000 0.000
0.000 4.374 0.000
-1.502 0.000 5.956
Li Zr Ag
1 2 1
direct
0.000 0.000 0.000 Li
0.262 0.000 0.519 Zr
0.615 0.500 0.226 Zr
0.886 0.500 0.763 Ag
```

***

[9]
This entry pairs a crystal structure of PmLuMnAg with its simulated PXRD pattern. Radiation: Cu Kα (λ = 1.5418 Å). Structure: a crystal structure in Alexandria, relaxed with GGA-PBE.
Kinematic intensities with the Lorentz-polarization factor, no thermal factor.

Main lines, low angle first (2θ from 10° to 90°):
two_theta  d_spacing  I_rel
21.31  4.169  3.7
24.66  3.610  11.5
35.15  2.553  100.0
50.57  1.805  17.5
57.04  1.615  5.3
63.08  1.474  35.5
74.31  1.276  10.9
84.95  1.142  15.6

Cell and atoms:
```
PmLuMnAg
1.0
0.000 3.610 3.610
3.610 0.000 3.610
3.610 3.610 0.000
Pm Lu Mn Ag
1 1 1 1
direct
0.000 0.000 0.000 Pm
0.500 0.500 0.500 Lu
0.750 0.750 0.750 Mn
0.250 0.250 0.250 Ag
```

***

[10]
This entry pairs a crystal structure of LuAgO2 with its simulated PXRD pattern. Radiation: Cu Kα (λ = 1.5418 Å). Structure: a crystal structure in Alexandria, relaxed with GGA-PBE.
Kinematic intensities with the Lorentz-polarization factor, no thermal factor.

Main lines, low angle first (2θ from 10° to 90°):
two_theta  d_spacing  I_rel
14.14  6.264  16.3
28.50  3.132  37.3
31.71  2.822  100.0
35.87  2.504  54.7
49.55  1.840  31.8
53.65  1.708  25.9
58.16  1.586  19.2
61.87  1.500  25.3

Cell and atoms:
```
LuAgO2
1.0
1.708 0.986 6.264
-1.708 0.986 6.264
0.000 -1.973 6.264
Lu Ag O
1 1 2
direct
0.000 0.000 0.000 Lu
0.500 0.500 0.500 Ag
0.388 0.388 0.388 O
0.612 0.612 0.612 O
```

***

[11]
This entry pairs a crystal structure of LuAgSe2 with its simulated PXRD pattern. Radiation: Cu Kα (λ = 1.5418 Å). Structure: a crystal structure in Alexandria, relaxed with GGA-PBE.
Kinematic intensities with the Lorentz-polarization factor, no thermal factor.

Main lines, low angle first (2θ from 10° to 90°):
two_theta  d_spacing  I_rel
24.96  3.568  41.6
26.17  3.405  47.0
28.24  3.161  95.9
31.90  2.805  48.0
36.47  2.464  74.0
37.34  2.408  100.0
39.46  2.284  40.2
45.44  1.996  64.6

Cell and atoms:
```
LuAgSe2
1.0
4.189 0.000 0.000
0.000 6.812 0.000
0.000 0.000 13.620
Lu Ag Se
4 4 8
direct
0.220 0.210 0.372 Lu
0.280 0.790 0.872 Lu
0.720 0.290 0.628 Lu
0.780 0.710 0.128 Lu
0.012 0.709 0.375 Ag
0.488 0.291 0.875 Ag
0.512 0.791 0.625 Ag
0.988 0.209 0.125 Ag
0.221 0.085 0.726 Se
0.226 0.483 0.528 Se
0.274 0.517 0.028 Se
0.279 0.915 0.226 Se
0.721 0.415 0.274 Se
0.726 0.017 0.472 Se
0.774 0.983 0.972 Se
0.779 0.585 0.774 Se
```

***

[12]
This entry pairs a crystal structure of MgAg3 with its simulated PXRD pattern. Radiation: Cu Kα (λ = 1.5418 Å). Structure: a crystal structure in Alexandria, relaxed with GGA-PBE.
Kinematic intensities with the Lorentz-polarization factor, no thermal factor.

Main lines, low angle first (2θ from 10° to 90°):
two_theta  d_spacing  I_rel
36.56  2.458  53.4
37.74  2.384  100.0
38.91  2.315  78.2
39.17  2.300  75.6
39.37  2.289  75.5
39.56  2.278  73.3
40.92  2.206  45.0
41.73  2.165  42.6

Cell and atoms:
```
MgAg3
1.0
3.094 0.000 0.000
-0.040 4.918 0.000
-1.533 -2.349 4.768
Mg Ag
1 3
direct
0.000 0.000 0.000 Mg
0.247 0.621 0.501 Ag
0.500 0.503 0.000 Ag
0.747 0.120 0.499 Ag
```

***

[13]
This entry pairs a crystal structure of Mg5Ag3 with its simulated PXRD pattern. Radiation: Cu Kα (λ = 1.5418 Å). Structure: a crystal structure in Alexandria, relaxed with GGA-PBE.
Kinematic intensities with the Lorentz-polarization factor, no thermal factor.

Main lines, low angle first (2θ from 10° to 90°):
two_theta  d_spacing  I_rel
23.27  3.822  30.4
24.65  3.612  100.0
26.06  3.419  75.6
37.04  2.427  67.9
37.19  2.417  51.4
38.11  2.361  91.1
48.32  1.884  22.4
49.06  1.857  40.3

Cell and atoms:
```
Mg5Ag3
1.0
2.716 -7.635 0.000
2.716 7.635 0.000
-2.694 0.000 7.653
Mg Ag
10 6
direct
0.078 0.722 0.800 Mg
0.223 0.422 0.645 Mg
0.249 0.249 0.999 Mg
0.278 0.922 0.200 Mg
0.422 0.223 0.645 Mg
0.578 0.777 0.355 Mg
0.722 0.078 0.800 Mg
0.751 0.751 0.001 Mg
0.777 0.578 0.355 Mg
0.922 0.278 0.200 Mg
0.167 0.167 0.332 Ag
0.250 0.750 0.500 Ag
0.334 0.666 0.000 Ag
0.666 0.334 0.000 Ag
0.750 0.250 0.500 Ag
0.833 0.833 0.668 Ag
```